[1]
Starting from a GGA-PBE-relaxed structure, the powder diffraction line list of Nd3SiSeCl was calculated for Cu Kα.
Intensities are scaled so that the largest is 100.

Atomic structure:
abc: 8.6224 4.1900 10.2556
angles: 90.00 91.57 90.00
Fractional coordinates of all 12 atoms:
Nd: 0.1186 0.2500 0.3554
Nd: 0.1604 0.2500 0.9207
Nd: 0.3705 0.7500 0.6367
Nd: 0.6295 0.2500 0.3633
Nd: 0.8396 0.7500 0.0793
Nd: 0.8814 0.7500 0.6446
Si: 0.1272 0.2500 0.6448
Si: 0.8728 0.7500 0.3552
Se: 0.3736 0.7500 0.3448
Se: 0.6264 0.2500 0.6552
Cl: 0.3765 0.7500 0.9187
Cl: 0.6235 0.2500 0.0813

Principal peaks in the range 10° ≤ 2θ ≤ 80°, by intensity:
2θ/deg, I_rel
29.74, 100
27.47, 37
26.08, 30
40.35, 26
46.11, 25
43.18, 19
35.01, 18
26.66, 18
41.93, 17
72.31, 14


[2]
Starting from a GGA-PBE-relaxed structure, the powder diffraction line list of PrSn3Pd5 was calculated for Cu Kα.
Intensities are scaled so that the largest is 100.

Atomic structure:
abc: 7.3456 7.3456 13.5801
angles: 90.00 90.00 148.43
Fractional coordinates of all 18 atoms:
Pr: 0.1134 0.8866 0.7500
Pr: 0.8866 0.1134 0.2500
Sn: 0.1326 0.8674 0.2500
Sn: 0.3779 0.6221 0.0443
Sn: 0.3779 0.6221 0.4557
Sn: 0.6221 0.3779 0.5443
Sn: 0.6221 0.3779 0.9557
Sn: 0.8674 0.1326 0.7500
Pd: 0.0000 0.0000 0.0000
Pd: 0.0000 0.0000 0.5000
Pd: 0.1958 0.8042 0.0674
Pd: 0.1958 0.8042 0.4326
Pd: 0.4557 0.5443 0.6473
Pd: 0.4557 0.5443 0.8527
Pd: 0.5443 0.4557 0.1473
Pd: 0.5443 0.4557 0.3527
Pd: 0.8042 0.1958 0.5674
Pd: 0.8042 0.1958 0.9326

Principal peaks in the range 10° ≤ 2θ ≤ 80°, by intensity:
2θ/deg, I_rel
41.31, 100
35.26, 62
32.19, 62
45.38, 56
30.50, 56
40.67, 44
41.94, 44
12.52, 26
63.50, 25
58.90, 22